Record 1
Diffraction record for HoCo9B4. The X-ray diffraction stick pattern is simulated, not measured: it uses a crystal structure in Alexandria, relaxed with GGA-PBE and a wavelength of 1.5418 Å.

Structural model:
```
data_HoCo9B4
_symmetry_space_group_name_H-M 'I 4/m'
_symmetry_Int_Tables_number 87
_symmetry_space_group_name_Hall '-I 4'
_cell_length_a 7.282
_cell_length_b 7.282
_cell_length_c 10.750
_cell_angle_alpha 90.00
_cell_angle_beta 90.00
_cell_angle_gamma 90.00
loop_
_atom_site_label
_atom_site_fract_x
_atom_site_fract_y
_atom_site_fract_z
Ho1 0.000 0.000 0.248
Co1 0.000 0.500 0.000
Co2 0.093 0.193 0.500
Co3 0.096 0.195 0.000
Co4 0.130 0.652 0.179
B1 0.132 0.675 0.365
```

Principal peaks in the range 2θ = 10–90°, low angle first:
Position (°2θ)  intensity  hkl
33.34  19  0 0 4
37.31  20  1 2 3
37.76  15  1 1 4
38.78  10  2 2 2
39.12  11  1 3 0
41.78  11  2 0 4
42.72  100  3 1 2
50.93  12  0 0 6
56.52  20  2 4 0
67.23  12  2 4 4

Record 2
Diffraction record for HoCo2B4. The X-ray diffraction stick pattern is simulated, not measured: it uses a crystal structure in Alexandria, relaxed with GGA-PBE and a wavelength of 1.5418 Å.

Structural model:
```
data_HoCo2B4
_symmetry_space_group_name_H-M 'I m m m'
_symmetry_Int_Tables_number 71
_symmetry_space_group_name_Hall '-I 2 2'
_cell_length_a 3.082
_cell_length_b 3.255
_cell_length_c 13.611
_cell_angle_alpha 90.00
_cell_angle_beta 90.00
_cell_angle_gamma 90.00
loop_
_atom_site_label
_atom_site_fract_x
_atom_site_fract_y
_atom_site_fract_z
Ho1 0.000 0.000 0.000
Co1 0.000 0.500 0.307
B1 0.000 0.000 0.396
B2 0.000 0.500 0.158
```

Principal peaks in the range 2θ = 10–90°, low angle first:
Position (°2θ)  intensity  hkl
13.01  25  0 0 2
26.19  29  0 0 4
28.19  72  0 1 1
29.72  24  1 0 1
35.20  83  1 0 3
39.74  24  0 0 6
42.52  100  1 1 2
43.33  58  0 1 5
68.39  27  1 2 3
69.39  26  1 1 8